Structure and calculated XRD peak list of Ho4Ga16Co3 (a structure optimized by DFT (GGA-PBE); Cu Kα).
No peak broadening, texture or thermal motion is included.

Main lines, in order of falling intensity (2θ = 10–90°):
2θ = 38.6°, intensity 100; 2θ = 42.5°, intensity 70; 2θ = 33.9°, intensity 54; 2θ = 60.4°, intensity 33; 2θ = 40.8°, intensity 28; 2θ = 75.2°, intensity 24; 2θ = 32.1°, intensity 24; 2θ = 61.7°, intensity 22; 2θ = 20.9°, intensity 19; 2θ = 44.5°, intensity 17

Structure:
```
Ho4Ga16Co3
1.0
6.0140 0.0000 0.0000
0.0000 6.0140 0.0000
0.0000 0.0000 11.0671
Ho Ga Co
4 16 3
direct
0.0000 0.5000 0.1937
0.0000 0.5000 0.8063
0.5000 0.0000 0.1937
0.5000 0.0000 0.8063
0.0000 0.0000 0.1967
0.0000 0.0000 0.8033
0.2193 0.2193 0.0000
0.2193 0.7807 0.0000
0.2497 0.2497 0.3836
0.2497 0.2497 0.6164
0.2497 0.7503 0.3836
0.2497 0.7503 0.6164
0.5000 0.5000 0.2184
0.5000 0.5000 0.7816
0.7503 0.2497 0.3836
0.7503 0.2497 0.6164
0.7503 0.7503 0.3836
0.7503 0.7503 0.6164
0.7807 0.2193 0.0000
0.7807 0.7807 0.0000
0.0000 0.5000 0.5000
0.5000 0.0000 0.5000
0.5000 0.5000 0.0000
```

---

Structure and calculated XRD peak list of Ho3Ga4Co2 (a structure optimized by DFT (GGA-PBE); Cu Kα).
No peak broadening, texture or thermal motion is included.

Main lines, in order of falling intensity (2θ = 10–90°):
2θ = 34.9°, intensity 100; 2θ = 35.7°, intensity 90; 2θ = 41.5°, intensity 58; 2θ = 42.5°, intensity 50; 2θ = 34.6°, intensity 49; 2θ = 24.0°, intensity 32; 2θ = 33.8°, intensity 30; 2θ = 34.1°, intensity 26; 2θ = 68.9°, intensity 18; 2θ = 41.2°, intensity 17

Structure:
```
Ho3Ga4Co2
1.0
5.2726 -2.1282 0.0000
5.2726 2.1282 0.0000
-3.9803 0.0000 15.0607
Ho Ga Co
6 8 4
direct
0.0000 0.0000 0.0000
0.2358 0.2358 0.8623
0.3343 0.3343 0.6603
0.5679 0.5679 0.5244
0.6627 0.6627 0.3140
0.9027 0.9027 0.1919
0.0513 0.0513 0.6708
0.1891 0.1891 0.1737
0.2236 0.2236 0.4582
0.3833 0.3833 0.3371
0.5336 0.5336 0.8471
0.7144 0.7144 0.0088
0.8621 0.8621 0.5076
0.8941 0.8941 0.7983
0.3412 0.3412 0.0625
0.5648 0.5648 0.1235
0.6625 0.6625 0.7193
0.9920 0.9920 0.3858
```

---

Structure and calculated XRD peak list of HoGa5Co (a structure optimized by DFT (GGA-PBE); Cu Kα).
No peak broadening, texture or thermal motion is included.

Main lines, in order of falling intensity (2θ = 10–90°):
2θ = 40.1°, intensity 100; 2θ = 42.8°, intensity 56; 2θ = 32.7°, intensity 54; 2θ = 76.6°, intensity 28; 2θ = 21.0°, intensity 23; 2θ = 59.8°, intensity 23; 2θ = 39.6°, intensity 19; 2θ = 62.2°, intensity 18; 2θ = 33.8°, intensity 14; 2θ = 76.8°, intensity 11

Structure:
```
HoGa5Co
1.0
4.2215 0.0000 0.0000
0.0000 4.2215 0.0000
0.0000 0.0000 6.8239
Ho Ga Co
1 5 1
direct
0.0000 0.0000 0.0000
0.0000 0.5000 0.3106
0.0000 0.5000 0.6894
0.5000 0.0000 0.3106
0.5000 0.0000 0.6894
0.5000 0.5000 0.0000
0.0000 0.0000 0.5000
```

---

Structure and calculated XRD peak list of Ho2Ga8Co (a structure optimized by DFT (GGA-PBE); Cu Kα).
No peak broadening, texture or thermal motion is included.

Main lines, in order of falling intensity (2θ = 10–90°):
2θ = 38.7°, intensity 100; 2θ = 42.7°, intensity 58; 2θ = 34.0°, intensity 52; 2θ = 75.6°, intensity 41; 2θ = 60.4°, intensity 28; 2θ = 40.6°, intensity 23; 2θ = 21.0°, intensity 22; 2θ = 62.0°, intensity 19; 2θ = 76.8°, intensity 14; 2θ = 32.1°, intensity 13

Structure:
```
Ho2Ga8Co
1.0
4.2313 0.0000 0.0000
0.0000 4.2313 0.0000
0.0000 0.0000 11.1014
Ho Ga Co
2 8 1
direct
0.0000 0.0000 0.1943
0.0000 0.0000 0.8057
0.0000 0.5000 0.0000
0.0000 0.5000 0.3834
0.0000 0.5000 0.6166
0.5000 0.0000 0.0000
0.5000 0.0000 0.3834
0.5000 0.0000 0.6166
0.5000 0.5000 0.1961
0.5000 0.5000 0.8039
0.0000 0.0000 0.5000
```

---

Structure and calculated XRD peak list of Ho2GaCo2 (a structure optimized by DFT (GGA-PBE); Cu Kα).
No peak broadening, texture or thermal motion is included.

Main lines, in order of falling intensity (2θ = 10–90°):
2θ = 35.1°, intensity 100; 2θ = 41.6°, intensity 33; 2θ = 27.6°, intensity 33; 2θ = 36.4°, intensity 26; 2θ = 39.7°, intensity 25; 2θ = 45.0°, intensity 24; 2θ = 70.4°, intensity 23; 2θ = 39.4°, intensity 22; 2θ = 33.0°, intensity 17; 2θ = 61.5°, intensity 13

Structure:
```
Ho2GaCo2
1.0
4.0320 0.0000 0.0000
0.0000 5.4222 0.0000
0.0000 0.0000 8.3160
Ho Ga Co
4 2 4
direct
0.0000 0.0000 0.2058
0.0000 0.0000 0.7942
0.5000 0.5000 0.2942
0.5000 0.5000 0.7058
0.0000 0.5000 0.0000
0.5000 0.0000 0.5000
0.0000 0.2859 0.5000
0.0000 0.7141 0.5000
0.5000 0.2141 0.0000
0.5000 0.7859 0.0000
```

---

Structure and calculated XRD peak list of LaGa3Co10 (a structure optimized by DFT (GGA-PBE); Cu Kα).
No peak broadening, texture or thermal motion is included.

Main lines, in order of falling intensity (2θ = 10–90°):
2θ = 47.4°, intensity 100; 2θ = 38.2°, intensity 91; 2θ = 38.7°, intensity 82; 2θ = 38.9°, intensity 81; 2θ = 47.6°, intensity 59; 2θ = 46.4°, intensity 47; 2θ = 35.4°, intensity 45; 2θ = 47.0°, intensity 43; 2θ = 46.5°, intensity 43; 2θ = 55.7°, intensity 34

Structure:
```
LaGa3Co10
1.0
0.0000 5.6840 5.8273
5.6327 0.0000 5.8273
5.6327 5.6840 0.0000
La Ga Co
2 6 20
direct
0.0000 0.0000 0.5000
0.5000 0.5000 0.0000
0.0546 0.6999 0.9454
0.3079 0.9538 0.0462
0.4504 0.8056 0.5496
0.6999 0.0546 0.3001
0.8056 0.4504 0.1944
0.9538 0.3079 0.6921
0.0484 0.8038 0.1962
0.0526 0.4523 0.3112
0.1906 0.9623 0.8094
0.1921 0.3171 0.0460
0.1947 0.5462 0.4538
0.2540 0.2540 0.7460
0.3157 0.5364 0.6843
0.3171 0.1921 0.4449
0.4523 0.0526 0.1839
0.4528 0.6909 0.3091
0.5364 0.3157 0.4636
0.5462 0.1947 0.8053
0.5551 0.9540 0.6829
0.6888 0.8161 0.9474
0.6909 0.4528 0.5472
0.7529 0.7529 0.2471
0.8038 0.0484 0.9516
0.8161 0.6888 0.5477
0.9540 0.5551 0.8079
0.9623 0.1906 0.0377
```

---

Structure and calculated XRD peak list of LaGa2Co3 (a structure optimized by DFT (GGA-PBE); Cu Kα).
No peak broadening, texture or thermal motion is included.

Main lines, in order of falling intensity (2θ = 10–90°):
2θ = 41.3°, intensity 100; 2θ = 33.8°, intensity 62; 2θ = 37.9°, intensity 61; 2θ = 39.2°, intensity 53; 2θ = 46.0°, intensity 44; 2θ = 47.1°, intensity 39; 2θ = 32.3°, intensity 39; 2θ = 25.7°, intensity 26; 2θ = 59.2°, intensity 25; 2θ = 62.9°, intensity 25

Structure:
```
LaGa2Co3
1.0
4.5890 -7.9621 0.0000
4.5890 7.9621 0.0000
0.0000 0.0000 3.8588
La Ga Co
3 6 9
direct
0.0000 0.0000 0.0000
0.3330 0.6670 0.5000
0.6670 0.3330 0.5000
0.0005 0.3151 0.5000
0.3133 0.3133 0.5000
0.3151 0.0005 0.5000
0.6849 0.9995 0.5000
0.6867 0.6867 0.5000
0.9995 0.6849 0.5000
0.0000 0.5000 0.0000
0.1814 0.8186 0.0000
0.1819 0.3633 0.0000
0.3633 0.1819 0.0000
0.5000 0.0000 0.0000
0.5000 0.5000 0.0000
0.6367 0.8181 0.0000
0.8181 0.6367 0.0000
0.8186 0.1814 0.0000
```

---

Structure and calculated XRD peak list of La2Ga7Co (a structure optimized by DFT (GGA-PBE); Cu Kα).
No peak broadening, texture or thermal motion is included.

Main lines, in order of falling intensity (2θ = 10–90°):
2θ = 34.0°, intensity 100; 2θ = 32.7°, intensity 69; 2θ = 42.1°, intensity 60; 2θ = 54.3°, intensity 32; 2θ = 47.6°, intensity 28; 2θ = 71.8°, intensity 22; 2θ = 65.4°, intensity 22; 2θ = 61.1°, intensity 19; 2θ = 29.4°, intensity 18; 2θ = 60.3°, intensity 13

Structure:
```
La2Ga7Co
1.0
4.2902 0.0000 0.0000
0.0000 4.2902 0.0000
0.0000 0.0000 10.6702
La Ga Co
2 7 1
direct
0.0000 0.5000 0.2432
0.5000 0.0000 0.7568
0.0000 0.0000 0.0000
0.0000 0.0000 0.5000
0.0000 0.5000 0.6409
0.0000 0.5000 0.8799
0.5000 0.0000 0.1201
0.5000 0.0000 0.3591
0.5000 0.5000 0.5000
0.5000 0.5000 0.0000
```

---

Structure and calculated XRD peak list of La6Ga3Co11 (a structure optimized by DFT (GGA-PBE); Cu Kα).
No peak broadening, texture or thermal motion is included.

Main lines, in order of falling intensity (2θ = 10–90°):
2θ = 35.0°, intensity 100; 2θ = 31.6°, intensity 93; 2θ = 27.2°, intensity 78; 2θ = 38.7°, intensity 52; 2θ = 43.7°, intensity 51; 2θ = 46.3°, intensity 48; 2θ = 38.5°, intensity 36; 2θ = 32.4°, intensity 36; 2θ = 31.2°, intensity 30; 2θ = 42.6°, intensity 29

Structure:
```
La6Ga3Co11
1.0
-4.0601 4.0601 11.3363
4.0601 -4.0601 11.3363
4.0601 4.0601 -11.3363
La Ga Co
12 6 22
direct
0.0000 0.0000 0.0000
0.0861 0.2543 0.5000
0.1196 0.9598 0.5000
0.2033 0.2033 0.0000
0.2543 0.7543 0.1682
0.4598 0.6196 0.5000
0.5000 0.5000 0.0000
0.5861 0.0861 0.8318
0.6196 0.1196 0.1598
0.7033 0.7033 0.0000
0.7543 0.5861 0.5000
0.9598 0.4598 0.8402
0.0722 0.5722 0.2566
0.3156 0.8156 0.7435
0.3519 0.3519 0.0000
0.5722 0.3156 0.5000
0.8156 0.0722 0.5000
0.8519 0.8519 0.0000
0.0340 0.3116 0.1448
0.1000 0.6000 0.5000
0.1258 0.6258 0.7258
0.1668 0.8891 0.8552
0.2245 0.3660 0.5000
0.3116 0.1668 0.2776
0.3323 0.4857 0.5000
0.3660 0.8660 0.1415
0.3891 0.6668 0.8552
0.4000 0.1258 0.5000
0.4857 0.9857 0.1534
0.5340 0.3891 0.7224
0.6000 0.1000 0.5000
0.6258 0.9000 0.5000
0.6668 0.8116 0.2776
0.7245 0.2245 0.8585
0.8116 0.5340 0.1448
0.8323 0.3323 0.8466
0.8660 0.7245 0.5000
0.8891 0.0340 0.7224
0.9000 0.4000 0.2742
0.9857 0.8323 0.5000
```

---

Structure and calculated XRD peak list of LiGa2Co (a structure optimized by DFT (GGA-PBE); Cu Kα).
No peak broadening, texture or thermal motion is included.

Main lines, in order of falling intensity (2θ = 10–90°):
2θ = 43.4°, intensity 100; 2θ = 79.7°, intensity 31; 2θ = 26.2°, intensity 19; 2θ = 30.3°, intensity 19; 2θ = 63.1°, intensity 16; 2θ = 51.4°, intensity 8; 2θ = 71.6°, intensity 6; 2θ = 53.9°, intensity 5; 2θ = 69.5°, intensity 3; 2θ = 85.7°, intensity 2

Structure:
```
LiGa2Co
1.0
5.8922 0.0000 0.0000
0.0000 5.8922 0.0000
0.0000 0.0000 5.8922
Li Ga Co
4 8 4
direct
0.0000 0.0000 0.0000
0.0000 0.5000 0.5000
0.5000 0.0000 0.5000
0.5000 0.5000 0.0000
0.2500 0.2500 0.2500
0.2500 0.2500 0.7500
0.2500 0.7500 0.2500
0.2500 0.7500 0.7500
0.7500 0.2500 0.2500
0.7500 0.2500 0.7500
0.7500 0.7500 0.2500
0.7500 0.7500 0.7500
0.0000 0.0000 0.5000
0.0000 0.5000 0.0000
0.5000 0.0000 0.0000
0.5000 0.5000 0.5000
```

---

Structure and calculated XRD peak list of Lu2Ga3Co (a structure optimized by DFT (GGA-PBE); Cu Kα).
No peak broadening, texture or thermal motion is included.

Main lines, in order of falling intensity (2θ = 10–90°):
2θ = 35.6°, intensity 100; 2θ = 41.8°, intensity 49; 2θ = 23.7°, intensity 23; 2θ = 56.0°, intensity 18; 2θ = 34.3°, intensity 18; 2θ = 72.2°, intensity 12; 2θ = 38.4°, intensity 11; 2θ = 68.4°, intensity 11; 2θ = 70.2°, intensity 11; 2θ = 59.5°, intensity 8

Structure:
```
Lu2Ga3Co
1.0
8.6538 0.0000 0.0000
-4.3269 7.4944 0.0000
0.0000 0.0000 6.8318
Lu Ga Co
8 12 4
direct
0.0000 0.0000 0.2500
0.0000 0.0000 0.7500
0.0528 0.5264 0.2500
0.4736 0.5264 0.2500
0.4736 0.9472 0.2500
0.5264 0.0528 0.7500
0.5264 0.4736 0.7500
0.9472 0.4736 0.7500
0.1727 0.3455 0.5471
0.1727 0.3455 0.9529
0.1727 0.8273 0.5471
0.1727 0.8273 0.9529
0.3455 0.1727 0.0471
0.3455 0.1727 0.4529
0.6545 0.8273 0.5471
0.6545 0.8273 0.9529
0.8273 0.1727 0.0471
0.8273 0.1727 0.4529
0.8273 0.6545 0.0471
0.8273 0.6545 0.4529
0.3333 0.6667 0.5244
0.3333 0.6667 0.9756
0.6667 0.3333 0.0244
0.6667 0.3333 0.4756
```